Record 1
Diffraction record for Nd4AlCo. The powder X-ray diffraction pattern is simulated, not measured: it uses the PBE geometry in Alexandria and Cu Kα (weighted mean of Kα1 and Kα2).
Neutral-atom scattering factors, no anomalous dispersion.

Cell and atoms:
abc: 5.9588 6.9899 8.2052
angles: 90.00 96.39 90.00
Space group P2_1/m (No. 11)
Asymmetric unit:
Nd: 0.1107 0.2500 0.0752 x2
Nd: 0.1692 0.7500 0.3788 x2
Nd: 0.3824 0.5052 0.7788 x4
Al: 0.2887 0.2500 0.4446 x2
Co: 0.3232 0.7500 0.0598 x2

Principal peaks in the range 5° ≤ 2θ ≤ 70°, sorted by position:
| 2θ/deg | Rel. int. |
| --- | --- |
| 27.92 | 44 |
| 29.68 | 84 |
| 30.96 | 67 |
| 31.09 | 100 |
| 32.28 | 42 |
| 33.78 | 85 |
| 34.75 | 75 |
| 35.78 | 47 |

---

Record 2
Diffraction record for BaBe2P2O8. The powder X-ray diffraction pattern is simulated, not measured: it uses the PBE geometry in Alexandria and Cu Kα (weighted mean of Kα1 and Kα2).
Neutral-atom scattering factors, no anomalous dispersion.

Cell and atoms:
abc: 5.1011 5.1011 7.5475
angles: 90.00 90.00 120.00
Space group P-3m1 (No. 164)
Asymmetric unit:
Ba: 0.0000 0.0000 0.0000 x1
Be: 0.3333 0.6667 0.6995 x2
P: 0.3333 0.6667 0.2922 x2
O: 0.0078 0.5039 0.2129 x6
O: 0.3333 0.6667 0.4916 x2

Principal peaks in the range 5° ≤ 2θ ≤ 70°, sorted by position:
| 2θ/deg | Rel. int. |
| --- | --- |
| 11.73 | 29 |
| 23.33 | 100 |
| 31.17 | 60 |
| 35.19 | 29 |
| 41.30 | 18 |
| 42.65 | 27 |
| 56.44 | 16 |
| 60.65 | 17 |

---

Record 3
Diffraction record for Si23He3. The powder X-ray diffraction pattern is simulated, not measured: it uses the PBE geometry in Alexandria and Cu Kα (weighted mean of Kα1 and Kα2).
Neutral-atom scattering factors, no anomalous dispersion.

Cell and atoms:
abc: 10.2412 10.2412 10.2412
angles: 90.00 90.00 90.00
Space group Pm-3n (No. 223)
Asymmetric unit:
Si: 0.0000 0.1173 0.3075 x24
Si: 0.0000 0.2500 0.5000 x6
Si: 0.1837 0.1837 0.1837 x16
He: 0.0000 0.5000 0.2500 x6

Principal peaks in the range 5° ≤ 2θ ≤ 70°, sorted by position:
| 2θ/deg | Rel. int. |
| --- | --- |
| 19.38 | 94 |
| 21.25 | 70 |
| 30.23 | 41 |
| 31.50 | 32 |
| 32.72 | 100 |
| 36.16 | 38 |
| 52.07 | 98 |
| 55.30 | 53 |

---

Record 4
Diffraction record for Na2Er2B2O7. The powder X-ray diffraction pattern is simulated, not measured: it uses the PBE geometry in Alexandria and Cu Kα (weighted mean of Kα1 and Kα2).
Neutral-atom scattering factors, no anomalous dispersion.

Cell and atoms:
abc: 10.6127 6.2268 10.2724
angles: 90.00 117.69 90.00
Space group P2_1/c (No. 14)
Asymmetric unit:
Na: 0.0236 0.0570 0.2605 x4
Na: 0.1124 0.7327 0.0498 x4
Er: 0.3192 0.0821 0.9159 x4
Er: 0.4853 0.5411 0.1838 x4
B: 0.1869 0.2475 0.5826 x4
B: 0.2943 0.6532 0.8526 x4
O: 0.1033 0.1670 0.9455 x4
O: 0.1359 0.1474 0.6680 x4
O: 0.1861 0.7489 0.8674 x4
O: 0.3357 0.2357 0.1329 x4
O: 0.3519 0.7437 0.2707 x4
O: 0.3530 0.0438 0.4146 x4
O: 0.4752 0.6242 0.5975 x4

Principal peaks in the range 5° ≤ 2θ ≤ 70°, sorted by position:
| 2θ/deg | Rel. int. |
| --- | --- |
| 9.41 | 100 |
| 25.98 | 12 |
| 28.92 | 13 |
| 29.24 | 12 |
| 30.08 | 21 |
| 30.25 | 27 |
| 33.38 | 14 |
| 33.84 | 15 |

---

Record 5
Diffraction record for UCdTc. The powder X-ray diffraction pattern is simulated, not measured: it uses the PBE geometry in Alexandria and Cu Kα (weighted mean of Kα1 and Kα2).
Neutral-atom scattering factors, no anomalous dispersion.

Cell and atoms:
abc: 3.1877 3.1877 12.1931
angles: 90.00 90.00 90.00
Space group I4mm (No. 107)
Asymmetric unit:
U: 0.0000 0.0000 0.0000 x2
Cd: 0.0000 0.0000 0.7143 x2
Tc: 0.0000 0.0000 0.3721 x2

Principal peaks in the range 5° ≤ 2θ ≤ 70°, sorted by position:
| 2θ/deg | Rel. int. |
| --- | --- |
| 14.53 | 22 |
| 28.95 | 20 |
| 29.30 | 12 |
| 35.80 | 100 |
| 40.00 | 44 |
| 46.91 | 15 |
| 57.85 | 15 |
| 69.93 | 29 |

---

Record 6
Diffraction record for NaAlCdF6. The powder X-ray diffraction pattern is simulated, not measured: it uses the PBE geometry in Alexandria and Cu Kα (weighted mean of Kα1 and Kα2).
Neutral-atom scattering factors, no anomalous dispersion.

Cell and atoms:
abc: 4.9447 4.9447 9.7696
angles: 90.00 90.00 90.00
Space group P4_2nm (No. 102)
Asymmetric unit:
Na: 0.0000 0.0000 0.0000 x2
Al: 0.0000 0.0000 0.3347 x2
Cd: 0.0000 0.0000 0.6716 x2
F: 0.1778 0.1778 0.4736 x4
F: 0.1808 0.1808 0.1980 x4
F: 0.2365 0.2365 0.8321 x4

Principal peaks in the range 5° ≤ 2θ ≤ 70°, sorted by position:
| 2θ/deg | Rel. int. |
| --- | --- |
| 18.16 | 23 |
| 20.13 | 69 |
| 25.48 | 100 |
| 31.47 | 28 |
| 32.93 | 55 |
| 41.89 | 28 |
| 49.85 | 63 |
| 63.23 | 23 |